Structure and computed X-ray powder pattern of SnMo3 (DFT lattice parameters and positions (PBE); Cu Kα (λ = 1.5418 Å)).

```
data_SnMo3
_chemical_formula_sum 'Sn2 Mo6'
_space_group_name_H-M_alt 'P m -3 n'
_space_group_IT_number 223
_space_group_name_Hall '-P 4n 2 3'
_cell_length_a 5.1277
_cell_length_b 5.1277
_cell_length_c 5.1277
_cell_angle_alpha 90.00
_cell_angle_beta 90.00
_cell_angle_gamma 90.00
loop_
_atom_site_label
_atom_site_fract_x
_atom_site_fract_y
_atom_site_fract_z
Sn1 0.0000 0.0000 0.0000
Mo1 0.0000 0.2500 0.5000
```

Largest 8 diffraction maxima, by angle, 2θ = 10–90°:
| hkl | 2theta | I_rel |
| --- | --- | --- |
| 2 0 0 | 35.0 | 436 |
| 2 1 0 | 39.3 | 1000 |
| 2 1 1 | 43.2 | 968 |
| 3 2 0 | 65.6 | 210 |
| 3 2 1 | 68.5 | 499 |
| 4 0 0 | 73.9 | 175 |
| 4 2 0 | 84.5 | 148 |
| 4 2 1 | 87.1 | 203 |